Entry 1:
Structure and calculated powder XRD pattern of Ni3Ir2S2 (DFT lattice parameters and positions (GGA-PBE); λ = 1.5418 Å (Cu Kα)).
Peak positions follow from Bragg's law for the DFT cell and can differ from measured ones.

Top 10 peaks for 10 to 90 degrees two-theta, low angle first:
two_theta  d/Å  I_rel
24.53  3.629  642
30.16  2.963  768
34.97  2.566  1000
39.25  2.295  907
43.18  2.095  785
46.83  1.940  802
50.28  1.815  431
53.57  1.711  315
65.59  1.423  599
71.15  1.325  541

Structure:
Lattice parameters (Å, degrees): 6.286 6.286 6.286 109.47 109.47 109.47
Fractional positions:
Ni1 0.007 0.257 0.750
Ni2 0.243 0.250 0.493
Ni3 0.250 0.493 0.243
Ni4 0.257 0.750 0.007
Ni5 0.493 0.243 0.250
Ni6 0.750 0.007 0.257
Ir1 0.000 0.580 0.500
Ir2 0.500 0.000 0.580
Ir3 0.580 0.500 0.000
Ir4 0.920 0.920 0.920
S1 0.000 0.929 0.500
S2 0.500 0.000 0.929
S3 0.571 0.571 0.571
S4 0.929 0.500 0.000

Entry 2:
Structure and calculated powder XRD pattern of HgPd2PtO6 (DFT lattice parameters and positions (GGA-PBE); λ = 1.5418 Å (Cu Kα)).
Peak positions follow from Bragg's law for the DFT cell and can differ from measured ones.

Top 10 peaks for 10 to 90 degrees two-theta, low angle first:
two_theta  d/Å  I_rel
29.91  2.988  1000
33.10  2.706  848
34.57  2.594  268
37.55  2.396  425
49.91  1.827  149
51.96  1.760  548
59.10  1.563  166
61.03  1.518  142
61.21  1.514  289
66.77  1.401  220

Structure:
Lattice parameters (Å, degrees): 6.346 6.346 3.172 90.00 90.00 109.69
Fractional positions:
Hg1 0.000 0.000 0.000
Pd1 0.000 0.500 0.500
Pd2 0.500 0.000 0.500
Pt1 0.500 0.500 0.000
O1 0.168 0.832 0.500
O2 0.171 0.427 0.000
O3 0.427 0.171 0.000
O4 0.573 0.829 0.000
O5 0.829 0.573 0.000
O6 0.832 0.168 0.500